Diffraction record for CaAuCl4. The X-ray powder pattern is theoretical, not measured: it uses a cell relaxed with PBE and Cu Ka.

Structure:
```
data_CaAuCl4
_cell_length_a 6.636
_cell_length_b 4.215
_cell_length_c 14.129
_cell_angle_alpha 90.00
_cell_angle_beta 116.68
_cell_angle_gamma 90.00
_symmetry_space_group_name_H-M 'P 1'
_symmetry_Int_Tables_number 1
loop_
_symmetry_equiv_pos_as_xyz
'x,y,z'
loop_
_atom_site_label
_atom_site_type_symbol
_atom_site_fract_x
_atom_site_fract_y
_atom_site_fract_z
Ca1 Ca 0.000 0.000 0.000
Ca2 Ca 0.000 0.500 0.500
Au1 Au 0.500 0.000 0.500
Au2 Au 0.500 0.500 0.000
Cl1 Cl 0.215 0.143 0.878
Cl2 Cl 0.215 0.357 0.378
Cl3 Cl 0.288 0.505 0.112
Cl4 Cl 0.288 0.995 0.612
Cl5 Cl 0.712 0.005 0.388
Cl6 Cl 0.712 0.495 0.888
Cl7 Cl 0.785 0.643 0.622
Cl8 Cl 0.785 0.857 0.122
```

The 6 most intense peaks (2θ = 5–70°), by angle:
14.0 deg, I = 1000, (0 0 2)
14.9 deg, I = 298, (1 0 0)
22.2 deg, I = 332, (0 1 1)
28.7 deg, I = 655, (1 1 1)
30.7 deg, I = 299, (2 0 -4)
37.9 deg, I = 314, (1 1 3)